No. 1
Theoretical powder XRD pattern
Compound: SrLiAg2
Radiation: λ = 1.5418 Å (Cu Kα)
Structure: the GGA-PBE geometry in Alexandria

Cell and atoms:
```
data_SrLiAg2
_chemical_formula_sum 'Sr1 Li1 Ag2'
_cell_length_a 3.872
_cell_length_b 4.680
_cell_length_c 5.627
_cell_angle_alpha 90.00
_cell_angle_beta 91.35
_cell_angle_gamma 90.00
_space_group_name_H-M_alt 'P 1 m 1'
_space_group_IT_number 6
loop_
_space_group_symop_operation_xyz
'x,y,z'
'x,-y,z'
loop_
_atom_site_label
_atom_site_type_symbol
_atom_site_fract_x
_atom_site_fract_y
_atom_site_fract_z
Sr1 Sr 0.000 0.000 0.000
Li1 Li 0.025 0.500 0.538
Ag1 Ag 0.507 0.500 0.198
Ag2 Ag 0.508 0.000 0.500
```

Main lines, low angle first (10° ≤ 2θ ≤ 80°):
hkl, 2θ/deg, I_rel
0 0 1, 15.75, 51
1 0 0, 22.98, 33
0 1 1, 24.75, 45
1 0 -1, 27.67, 43
1 0 1, 28.29, 43
1 1 -1, 33.76, 100
1 1 1, 34.28, 94
0 1 2, 37.30, 93
0 2 0, 38.47, 50
2 0 0, 46.95, 27


No. 2
Theoretical powder XRD pattern
Compound: Sr2Li12Ag5
Radiation: λ = 1.5418 Å (Cu Kα)
Structure: the GGA-PBE geometry in Alexandria

Cell and atoms:
```
data_Sr2Li12Ag5
_chemical_formula_sum 'Sr6 Li36 Ag15'
_cell_length_a 9.9464
_cell_length_b 9.9464
_cell_length_c 14.0881
_cell_angle_alpha 90.00
_cell_angle_beta 90.00
_cell_angle_gamma 120.00
_space_group_name_H-M_alt 'R -3 m'
_space_group_IT_number 166
_space_group_name_Hall '-R 3 2"'
loop_
_atom_site_label
_atom_site_type_symbol
_atom_site_fract_x
_atom_site_fract_y
_atom_site_fract_z
Sr1 Sr 0.0000 0.0000 0.1651
Li1 Li 0.0000 0.2672 0.5000
Li2 Li 0.0211 0.5106 0.3517
Ag1 Ag 0.0000 0.0000 0.3989
Ag2 Ag 0.0000 0.5000 0.0000
```

Main lines, low angle first (10° ≤ 2θ ≤ 80°):
hkl, 2θ/deg, I_rel
1 0 1, 12.04, 100
1 1 0, 17.84, 68
0 2 1, 21.58, 35
2 0 2, 24.22, 42
1 1 3, 26.10, 35
1 0 4, 27.36, 49
2 2 0, 36.12, 94
2 1 4, 37.62, 44
2 0 5, 38.18, 73
4 2 5, 66.32, 24


No. 3
Theoretical powder XRD pattern
Compound: SrLi5Ag3
Radiation: λ = 1.5418 Å (Cu Kα)
Structure: the GGA-PBE geometry in Alexandria

Cell and atoms:
```
data_SrLi5Ag3
_chemical_formula_sum 'Sr4 Li20 Ag12'
_cell_length_a 4.397
_cell_length_b 13.461
_cell_length_c 13.067
_cell_angle_alpha 90.00
_cell_angle_beta 90.00
_cell_angle_gamma 90.00
_space_group_name_H-M_alt 'C m c m'
_space_group_IT_number 63
_space_group_name_Hall '-C 2c 2'
loop_
_atom_site_label
_atom_site_type_symbol
_atom_site_fract_x
_atom_site_fract_y
_atom_site_fract_z
Sr1 Sr 0.000 0.152 0.250
Li1 Li 0.000 0.000 0.000
Li2 Li 0.000 0.201 0.550
Li3 Li 0.000 0.421 0.144
Ag1 Ag 0.000 0.138 0.750
Ag2 Ag 0.000 0.398 0.557
```

Main lines, low angle first (10° ≤ 2θ ≤ 80°):
hkl, 2θ/deg, I_rel
0 2 3, 24.34, 39
1 1 2, 25.29, 100
0 4 0, 26.49, 46
0 0 4, 27.30, 18
1 3 2, 31.61, 51
1 3 3, 35.23, 14
2 0 0, 41.05, 22
1 5 2, 41.70, 20
1 3 5, 45.13, 19
2 4 0, 49.52, 16


No. 4
Theoretical powder XRD pattern
Compound: Sr2LiAg
Radiation: λ = 1.5418 Å (Cu Kα)
Structure: the GGA-PBE geometry in Alexandria

Cell and atoms:
```
data_Sr2LiAg
_chemical_formula_sum 'Sr2 Li1 Ag1'
_cell_length_a 4.679
_cell_length_b 4.709
_cell_length_c 6.635
_cell_angle_alpha 90.00
_cell_angle_beta 110.54
_cell_angle_gamma 90.00
_space_group_name_H-M_alt 'P 1 m 1'
_space_group_IT_number 6
loop_
_space_group_symop_operation_xyz
'x,y,z'
'x,-y,z'
loop_
_atom_site_label
_atom_site_type_symbol
_atom_site_fract_x
_atom_site_fract_y
_atom_site_fract_z
Sr1 Sr 0.000 0.000 0.000
Sr2 Sr 0.286 0.500 0.573
Li1 Li 0.698 0.000 0.398
Ag1 Ag 0.579 0.500 0.158
```

Main lines, low angle first (10° ≤ 2θ ≤ 80°):
hkl, 2θ/deg, I_rel
0 0 1, 14.26, 22
0 1 0, 18.85, 17
0 1 1, 23.71, 22
1 1 -1, 27.82, 100
1 0 1, 28.77, 73
0 1 2, 34.62, 70
0 2 0, 38.23, 21
2 0 -1, 38.48, 21
1 2 1, 48.54, 33
2 2 -1, 55.36, 27


No. 5
Theoretical powder XRD pattern
Compound: Sr3Li4Ag4
Radiation: λ = 1.5418 Å (Cu Kα)
Structure: the GGA-PBE geometry in Alexandria

Cell and atoms:
```
data_Sr3Li4Ag4
_chemical_formula_sum 'Sr6 Li8 Ag8'
_cell_length_a 8.239
_cell_length_b 8.239
_cell_length_c 8.239
_cell_angle_alpha 90.00
_cell_angle_beta 90.00
_cell_angle_gamma 90.00
_space_group_name_H-M_alt 'I -4 3 m'
_space_group_IT_number 217
_space_group_name_Hall 'I -4 2 3'
loop_
_atom_site_label
_atom_site_type_symbol
_atom_site_fract_x
_atom_site_fract_y
_atom_site_fract_z
Sr1 Sr 0.000 0.000 0.500
Li1 Li 0.123 0.123 0.877
Ag1 Ag 0.196 0.196 0.196
```

Main lines, low angle first (10° ≤ 2θ ≤ 80°):
hkl, 2θ/deg, I_rel
2 1 1, 26.50, 76
2 2 0, 30.69, 100
3 1 0, 34.42, 26
3 2 1, 40.99, 14
4 1 1, 46.78, 40
3 3 2, 52.07, 18
4 2 2, 54.57, 18
4 3 1, 57.00, 13
5 3 0, 66.13, 16
6 1 1, 70.45, 13


No. 6
Theoretical powder XRD pattern
Compound: Sr6LiAg5
Radiation: λ = 1.5418 Å (Cu Kα)
Structure: the GGA-PBE geometry in Alexandria

Cell and atoms:
```
data_Sr6LiAg5
_chemical_formula_sum 'Sr6 Li1 Ag5'
_cell_length_a 5.578
_cell_length_b 8.003
_cell_length_c 8.805
_cell_angle_alpha 90.00
_cell_angle_beta 108.13
_cell_angle_gamma 90.00
_space_group_name_H-M_alt 'P 1 2/m 1'
_space_group_IT_number 10
loop_
_space_group_symop_operation_xyz
'x,y,z'
'-x,-y,-z'
'-x,y,-z'
'x,-y,z'
loop_
_atom_site_label
_atom_site_type_symbol
_atom_site_fract_x
_atom_site_fract_y
_atom_site_fract_z
Sr1 Sr 0.000 0.240 0.000
Sr2 Sr 0.329 0.247 0.660
Li1 Li 0.500 0.500 0.000
Ag1 Ag 0.159 0.500 0.314
Ag2 Ag 0.168 0.000 0.334
Ag3 Ag 0.500 0.000 0.000
```

Main lines, low angle first (10° ≤ 2θ ≤ 80°):
hkl, 2θ/deg, I_rel
1 2 1, 31.86, 100
2 0 -1, 32.09, 49
0 4 0, 45.32, 10
2 0 2, 45.88, 9
2 0 -4, 46.16, 8
2 4 -1, 56.61, 18
3 2 0, 56.97, 18
3 2 -3, 57.15, 17
2 4 2, 66.47, 5
1 6 1, 75.19, 8


No. 7
Theoretical powder XRD pattern
Compound: Sr4Li2Ag5
Radiation: λ = 1.5418 Å (Cu Kα)
Structure: the GGA-PBE geometry in Alexandria

Cell and atoms:
```
data_Sr4Li2Ag5
_chemical_formula_sum 'Sr16 Li8 Ag20'
_cell_length_a 10.055
_cell_length_b 19.873
_cell_length_c 6.134
_cell_angle_alpha 90.00
_cell_angle_beta 90.00
_cell_angle_gamma 90.00
_space_group_name_H-M_alt 'I b a m'
_space_group_IT_number 72
_space_group_name_Hall '-I 2 2c'
loop_
_atom_site_label
_atom_site_type_symbol
_atom_site_fract_x
_atom_site_fract_y
_atom_site_fract_z
Sr1 Sr 0.120 0.150 0.000
Sr2 Sr 0.223 0.439 0.000
Li1 Li 0.000 0.303 0.250
Ag1 Ag 0.000 0.000 0.250
Ag2 Ag 0.086 0.411 0.500
Ag3 Ag 0.184 0.222 0.500
```

Main lines, low angle first (10° ≤ 2θ ≤ 80°):
hkl, 2θ/deg, I_rel
1 5 0, 24.08, 63
0 0 2, 29.12, 68
3 3 0, 29.88, 38
3 2 1, 31.73, 100
1 6 1, 31.97, 73
2 5 1, 32.21, 39
1 3 2, 33.41, 32
2 4 2, 38.88, 25
0 6 2, 40.08, 25
4 3 1, 41.13, 52


No. 8
Theoretical powder XRD pattern
Compound: Sr4LiAg
Radiation: λ = 1.5418 Å (Cu Kα)
Structure: the GGA-PBE geometry in Alexandria

Cell and atoms:
```
data_Sr4LiAg
_chemical_formula_sum 'Sr4 Li1 Ag1'
_cell_length_a 4.110
_cell_length_b 4.110
_cell_length_c 14.397
_cell_angle_alpha 90.00
_cell_angle_beta 90.00
_cell_angle_gamma 90.00
_space_group_name_H-M_alt 'P 4/m m m'
_space_group_IT_number 123
_space_group_name_Hall '-P 4 2'
loop_
_atom_site_label
_atom_site_type_symbol
_atom_site_fract_x
_atom_site_fract_y
_atom_site_fract_z
Sr1 Sr 0.000 0.000 0.131
Sr2 Sr 0.500 0.500 0.352
Li1 Li 0.000 0.000 0.500
Ag1 Ag 0.500 0.500 0.000
```

Main lines, low angle first (10° ≤ 2θ ≤ 80°):
hkl, 2θ/deg, I_rel
1 0 1, 22.50, 12
0 0 4, 24.74, 8
1 0 3, 28.59, 100
1 1 0, 30.76, 52
1 0 5, 38.16, 13
1 1 4, 39.87, 10
2 0 0, 44.06, 19
1 1 6, 49.24, 10
2 1 3, 53.37, 34
3 1 0, 72.76, 8